Starting from DFT lattice parameters and positions (GGA-PBE), the X-ray diffraction stick pattern of LiAg3PdSe4 was calculated for Cu Ka.
No peak broadening, texture or thermal motion is included.

Atomic structure:
Cell: 6.035 6.035 6.035 Å, 90.00 90.00 90.00°
Atoms (fractional coordinates):
Li 0.000 0.000 0.000
Ag 0.000 0.500 0.500
Ag 0.500 0.000 0.500
Ag 0.500 0.500 0.000
Pd 0.500 0.500 0.500
Se 0.250 0.250 0.250
Se 0.250 0.750 0.750
Se 0.750 0.250 0.750
Se 0.750 0.750 0.250

Top 8 peaks for 10° ≤ 2θ ≤ 90°, in order of rising 2θ:
d/Å	Position (°2θ)	I/Imax
6.035	14.68	57
3.484	25.57	70
2.699	33.20	32
2.134	42.36	100
2.012	45.07	16
1.819	50.14	32
1.509	61.46	16
1.232	77.49	32

Starting from DFT lattice parameters and positions (GGA-PBE), the X-ray diffraction stick pattern of Li4ZnAgPd2 was calculated for Cu Ka.
No peak broadening, texture or thermal motion is included.

Atomic structure:
Cell: 4.334 4.334 6.247 Å, 90.00 90.00 90.00°
Atoms (fractional coordinates):
Li 0.000 0.000 0.000
Li 0.000 0.500 0.246
Li 0.500 0.000 0.754
Li 0.500 0.500 0.500
Zn 0.500 0.500 0.000
Ag 0.000 0.000 0.500
Pd 0.000 0.500 0.774
Pd 0.500 0.000 0.226

Top 8 peaks for 10° ≤ 2θ ≤ 90°, in order of rising 2θ:
d/Å	Position (°2θ)	I/Imax
3.561	25.01	100
2.187	41.27	61
2.167	41.68	31
1.877	48.50	14
1.851	49.22	31
1.532	60.42	10
1.419	65.83	11
1.255	75.80	19

Starting from DFT lattice parameters and positions (GGA-PBE), the X-ray diffraction stick pattern of LiAgTe2PtSe was calculated for Cu Ka.
No peak broadening, texture or thermal motion is included.

Atomic structure:
Cell: 6.583 6.583 10.976 Å, 90.00 90.00 143.76°
Atoms (fractional coordinates):
Li 0.187 0.813 0.750
Li 0.813 0.187 0.250
Ag 0.105 0.895 0.250
Ag 0.895 0.105 0.750
Te 0.140 0.860 0.009
Te 0.140 0.860 0.491
Te 0.860 0.140 0.509
Te 0.860 0.140 0.991
Pt 0.500 0.500 0.000
Pt 0.500 0.500 0.500
Se 0.450 0.550 0.250
Se 0.550 0.450 0.750

Top 8 peaks for 10° ≤ 2θ ≤ 90°, in order of rising 2θ:
d/Å	Position (°2θ)	I/Imax
6.256	14.16	67
5.488	16.15	52
2.922	30.60	100
2.744	32.63	66
2.579	34.79	54
2.047	44.24	33
2.000	45.34	66
1.641	56.05	28

Starting from DFT lattice parameters and positions (GGA-PBE), the X-ray diffraction stick pattern of Li4Si2AgPt was calculated for Cu Ka.
No peak broadening, texture or thermal motion is included.

Atomic structure:
Cell: 4.238 4.238 5.984 Å, 90.00 90.00 90.00°
Atoms (fractional coordinates):
Li 0.000 0.000 0.000
Li 0.000 0.500 0.748
Li 0.500 0.000 0.252
Li 0.500 0.500 0.500
Si 0.000 0.500 0.274
Si 0.500 0.000 0.726
Ag 0.500 0.500 0.000
Pt 0.000 0.000 0.500

Top 8 peaks for 10° ≤ 2θ ≤ 90°, in order of rising 2θ:
d/Å	Position (°2θ)	I/Imax
3.458	25.76	100
2.995	29.83	35
2.118	42.70	63
1.806	50.54	47
1.374	68.25	19
1.339	70.28	13
1.223	78.18	21
1.153	83.91	11

Starting from DFT lattice parameters and positions (GGA-PBE), the X-ray diffraction stick pattern of LiReAgTe2Se was calculated for Cu Ka.
No peak broadening, texture or thermal motion is included.

Atomic structure:
Cell: 7.273 7.273 10.179 Å, 90.00 90.00 151.04°
Atoms (fractional coordinates):
Li 0.249 0.751 0.750
Li 0.751 0.249 0.250
Re 0.500 0.500 0.000
Re 0.500 0.500 0.500
Ag 0.060 0.940 0.250
Ag 0.940 0.060 0.750
Te 0.146 0.854 0.016
Te 0.146 0.854 0.484
Te 0.854 0.146 0.516
Te 0.854 0.146 0.984
Se 0.421 0.579 0.250
Se 0.579 0.421 0.750

Top 8 peaks for 10° ≤ 2θ ≤ 90°, in order of rising 2θ:
d/Å	Position (°2θ)	I/Imax
7.042	12.57	88
5.090	17.42	38
2.875	31.11	50
2.767	32.36	25
2.545	35.27	48
2.503	35.87	100
2.132	42.41	40
1.906	47.73	28

Starting from DFT lattice parameters and positions (GGA-PBE), the X-ray diffraction stick pattern of LiTbAg3S4 was calculated for Cu Ka.
No peak broadening, texture or thermal motion is included.

Atomic structure:
Cell: 6.349 7.901 9.282 Å, 90.00 100.05 90.00°
Atoms (fractional coordinates):
Li 0.233 0.250 0.216
Li 0.767 0.750 0.784
Tb 0.269 0.250 0.715
Tb 0.731 0.750 0.285
Ag 0.224 0.750 0.182
Ag 0.245 0.566 0.471
Ag 0.245 0.934 0.471
Ag 0.755 0.066 0.529
Ag 0.755 0.434 0.529
Ag 0.776 0.250 0.818
S 0.033 0.250 0.441
S 0.124 0.250 0.958
S 0.466 0.003 0.277
S 0.466 0.497 0.277
S 0.534 0.503 0.723
S 0.534 0.997 0.723
S 0.876 0.750 0.042
S 0.967 0.750 0.559

Top 8 peaks for 10° ≤ 2θ ≤ 90°, in order of rising 2θ:
d/Å	Position (°2θ)	I/Imax
5.977	14.82	100
3.129	28.53	42
2.989	29.90	16
2.909	30.73	16
2.763	32.41	18
2.650	33.83	20
2.295	39.26	24
2.047	44.26	19